Entry 1:
Structure and simulated powder X-ray diffraction pattern of Sr2Ca2Cu3BiO8 (a PBE-relaxed structure; Cu Kα).

Cell and atoms:
```
Sr2Ca2Cu3BiO8
1.0
6.622 0.000 0.000
3.308 5.805 0.000
3.304 -0.003 5.808
Sr Ca Cu Bi O
2 2 3 1 8
Direct
0.000 0.000 0.000
0.500 0.000 0.000
0.000 0.500 0.500
0.500 0.500 0.500
0.000 0.000 0.500
0.000 0.500 0.000
0.500 0.500 0.000
0.500 0.000 0.500
0.005 0.749 0.740
0.228 0.278 0.765
0.244 0.751 0.263
0.494 0.278 0.235
0.506 0.722 0.765
0.756 0.249 0.737
0.772 0.722 0.235
0.995 0.251 0.260
```

Top 12 peaks for 2θ = 15–90°, low angle first:
- 15.26°, I 18
- 17.20°, I 20
- 26.93°, I 9
- 27.78°, I 13
- 30.80°, I 44
- 34.81°, I 100
- 44.11°, I 35
- 57.38°, I 45
- 64.15°, I 10
- 64.83°, I 11
- 73.46°, I 10
- 75.10°, I 10

Entry 2:
Structure and simulated powder X-ray diffraction pattern of YMg6Nb (a PBE-relaxed structure; Cu Kα).

Cell and atoms:
```
YMg6Nb
1.0
5.098 0.000 0.000
0.000 6.446 0.000
0.000 0.000 11.253
Y Mg Nb
2 12 2
Direct
0.000 0.000 0.000
0.000 0.500 0.500
0.000 0.000 0.511
0.000 0.238 0.758
0.000 0.262 0.258
0.000 0.500 0.011
0.000 0.738 0.258
0.000 0.762 0.758
0.500 0.000 0.340
0.500 0.246 0.594
0.500 0.254 0.094
0.500 0.500 0.840
0.500 0.746 0.094
0.500 0.754 0.594
0.500 0.000 0.843
0.500 0.500 0.343
```

Top 12 peaks for 2θ = 15–90°, low angle first:
- 15.83°, I 86
- 23.57°, I 38
- 32.00°, I 28
- 32.74°, I 29
- 35.21°, I 39
- 36.48°, I 57
- 36.65°, I 100
- 38.82°, I 18
- 48.31°, I 17
- 56.80°, I 18
- 64.13°, I 18
- 68.61°, I 20

Entry 3:
Structure and simulated powder X-ray diffraction pattern of CaYBO4 (a PBE-relaxed structure; Cu Kα).

Cell and atoms:
```
CaYBO4
1.0
10.505 0.000 0.000
0.000 3.640 0.000
0.000 0.000 9.671
Ca Y B O
4 4 4 16
Direct
0.082 0.250 0.169
0.418 0.750 0.669
0.582 0.250 0.331
0.918 0.750 0.831
0.111 0.250 0.589
0.389 0.750 0.089
0.611 0.250 0.911
0.889 0.750 0.411
0.201 0.250 0.868
0.299 0.750 0.368
0.701 0.250 0.632
0.799 0.750 0.132
0.006 0.250 0.385
0.068 0.250 0.851
0.223 0.750 0.249
0.248 0.750 0.500
0.252 0.250 0.000
0.277 0.250 0.749
0.432 0.750 0.351
0.494 0.750 0.885
0.506 0.250 0.115
0.568 0.250 0.649
0.723 0.750 0.251
0.748 0.750 0.000
0.752 0.250 0.500
0.777 0.250 0.751
0.932 0.750 0.149
0.994 0.750 0.615
```

Top 12 peaks for 2θ = 15–90°, low angle first:
- 20.22°, I 40
- 29.86°, I 100
- 31.55°, I 39
- 31.93°, I 30
- 32.59°, I 42
- 36.81°, I 19
- 37.23°, I 23
- 42.44°, I 15
- 48.40°, I 21
- 50.12°, I 23
- 51.41°, I 31
- 53.83°, I 27

Entry 4:
Structure and simulated powder X-ray diffraction pattern of Gd3Co4Sn13 (a PBE-relaxed structure; Cu Kα).

Cell and atoms:
```
Gd3Co4Sn13
1.0
9.938 0.000 0.000
0.000 9.938 0.000
0.000 0.000 9.938
Gd Co Sn
6 8 26
Direct
0.000 0.250 0.500
0.000 0.750 0.500
0.250 0.500 0.000
0.500 0.000 0.250
0.500 0.000 0.750
0.750 0.500 0.000
0.250 0.250 0.250
0.250 0.250 0.750
0.250 0.750 0.250
0.250 0.750 0.750
0.750 0.250 0.250
0.750 0.250 0.750
0.750 0.750 0.250
0.750 0.750 0.750
0.000 0.000 0.000
0.000 0.304 0.157
0.000 0.304 0.843
0.000 0.696 0.157
0.000 0.696 0.843
0.157 0.000 0.304
0.157 0.000 0.696
0.196 0.500 0.343
0.196 0.500 0.657
0.304 0.157 0.000
0.304 0.843 0.000
0.343 0.196 0.500
0.343 0.804 0.500
0.500 0.343 0.196
0.500 0.343 0.804
0.500 0.500 0.500
0.500 0.657 0.196
0.500 0.657 0.804
0.657 0.196 0.500
0.657 0.804 0.500
0.696 0.157 0.000
0.696 0.843 0.000
0.804 0.500 0.343
0.804 0.500 0.657
0.843 0.000 0.304
0.843 0.000 0.696
```

Top 12 peaks for 2θ = 15–90°, low angle first:
- 32.48°, I 100
- 33.75°, I 37
- 36.15°, I 18
- 37.31°, I 12
- 44.67°, I 11
- 53.79°, I 14
- 57.14°, I 17
- 59.57°, I 7
- 61.94°, I 10
- 65.78°, I 11
- 68.77°, I 7
- 85.80°, I 10

Entry 5:
Structure and simulated powder X-ray diffraction pattern of Ti3WC3N (a PBE-relaxed structure; Cu Kα).

Cell and atoms:
```
Ti3WC3N
1.0
1.530 0.883 10.059
-1.530 0.883 10.059
0.000 -1.767 10.059
Ti W C N
3 1 3 1
Direct
0.000 0.000 0.000
0.251 0.251 0.251
0.502 0.502 0.502
0.749 0.749 0.749
0.376 0.376 0.376
0.625 0.625 0.625
0.875 0.875 0.875
0.127 0.127 0.127
```

Top 12 peaks for 2θ = 15–90°, low angle first:
- 17.63°, I 37
- 26.58°, I 15
- 33.96°, I 23
- 34.36°, I 23
- 35.70°, I 30
- 35.91°, I 89
- 37.05°, I 20
- 41.65°, I 100
- 60.22°, I 31
- 60.51°, I 31
- 72.28°, I 23
- 76.14°, I 15

What did the second record say?
Structure and simulated powder X-ray diffraction pattern of YMg6Nb (a PBE-relaxed structure; Cu Kα).

Cell and atoms:
```
YMg6Nb
1.0
5.098 0.000 0.000
0.000 6.446 0.000
0.000 0.000 11.253
Y Mg Nb
2 12 2
Direct
0.000 0.000 0.000
0.000 0.500 0.500
0.000 0.000 0.511
0.000 0.238 0.758
0.000 0.262 0.258
0.000 0.500 0.011
0.000 0.738 0.258
0.000 0.762 0.758
0.500 0.000 0.340
0.500 0.246 0.594
0.500 0.254 0.094
0.500 0.500 0.840
0.500 0.746 0.094
0.500 0.754 0.594
0.500 0.000 0.843
0.500 0.500 0.343
```

Top 12 peaks for 2θ = 15–90°, low angle first:
- 15.83°, I 86
- 23.57°, I 38
- 32.00°, I 28
- 32.74°, I 29
- 35.21°, I 39
- 36.48°, I 57
- 36.65°, I 100
- 38.82°, I 18
- 48.31°, I 17
- 56.80°, I 18
- 64.13°, I 18
- 68.61°, I 20